Simulated powder X-ray diffraction pattern
Compound: Th5MgTl5
Radiation: copper Kα
Structure: a crystal structure in Alexandria, relaxed with PBE

Most intense lines, 2θ = 10–90°, by angle:
| hkl | two_theta | I (rel.) |
| --- | --- | --- |
| 3 1 1 | 29.54 | 59 |
| 1 1 -2 | 29.97 | 27 |
| 3 1 -2 | 30.01 | 19 |
| 0 2 0 | 31.20 | 58 |
| 6 0 0 | 32.71 | 30 |
| 1 1 2 | 33.82 | 100 |
| 6 2 0 | 45.83 | 24 |
| 1 3 2 | 57.21 | 23 |
| 11 1 -1 | 60.00 | 15 |
| 4 2 -4 | 61.19 | 15 |

Crystal structure
```
data_Th5MgTl5
_chemical_formula_sum 'Th10 Mg2 Tl10'
_symmetry_space_group_name_H-M 'C 1 2/m 1'
_symmetry_Int_Tables_number 12
_cell_length_a 17.888
_cell_length_b 5.733
_cell_length_c 7.136
_cell_angle_alpha 90.00
_cell_angle_beta 113.32
_cell_angle_gamma 90.00
loop_
_symmetry_equiv_pos_as_xyz
'x,y,z'
'-x,-y,-z'
'-x,y,-z'
'x,-y,z'
'x+1/2,y+1/2,z'
'-x+1/2,-y+1/2,-z'
'-x+1/2,y+1/2,-z'
'x+1/2,-y+1/2,z'
loop_
_atom_site_label
_atom_site_type_symbol
_atom_site_fract_x
_atom_site_fract_y
_atom_site_fract_z
Th1 Th 0.000 0.000 0.000
Th2 Th 0.141 0.500 0.143
Th3 Th 0.196 0.500 0.697
Mg1 Mg 0.000 0.000 0.500
Tl1 Tl 0.000 0.500 0.500
Tl2 Tl 0.155 0.000 0.433
Tl3 Tl 0.155 0.000 0.876
```